[1]
This entry pairs a crystal structure of Sm2Ga6Au3 with its computed X-ray powder pattern. Radiation: Cu Kα (λ = 1.5418 Å). Structure: a GGA-PBE-relaxed structure.

Principal peaks in the range 2θ = 10–80°, low angle first:
2θ (°)	I/Imax	hkl
22.5	317	1 1 0
31.1	1000	1 1 1
33.8	163	2 0 1
39.5	436	3 0 0
41.0	374	2 1 1
43.1	233	0 0 2
47.9	161	3 1 0
51.1	209	2 2 1
59.9	258	3 0 2
66.4	334	4 1 1

Atomic structure:
```
data_Sm2Ga6Au3
_chemical_formula_sum 'Sm2 Ga6 Au3'
_space_group_name_H-M_alt 'P -6 2 m'
_space_group_IT_number 189
_space_group_name_Hall 'P -6 -2'
_cell_length_a 7.9029
_cell_length_b 7.9029
_cell_length_c 4.1949
_cell_angle_alpha 90.00
_cell_angle_beta 90.00
_cell_angle_gamma 120.00
loop_
_atom_site_label
_atom_site_type_symbol
_atom_site_fract_x
_atom_site_fract_y
_atom_site_fract_z
Sm1 Sm 0.3333 0.6667 0.0000
Ga1 Ga 0.0000 0.1877 0.0000
Ga2 Ga 0.0000 0.6942 0.5000
Au1 Au 0.0000 0.3722 0.5000
```


[2]
This entry pairs a crystal structure of SrSmGa2Au5 with its computed X-ray powder pattern. Radiation: Cu Kα (λ = 1.5418 Å). Structure: a GGA-PBE-relaxed structure.

Principal peaks in the range 2θ = 10–80°, low angle first:
2θ (°)	I/Imax	hkl
20.4	89	0 0 2
21.3	61	1 0 1
33.7	1000	1 1 2
36.3	89	1 0 3
37.8	489	2 0 0
41.6	120	0 0 4
54.6	170	2 2 0
57.5	187	2 0 4
65.7	297	3 1 2
70.9	246	1 1 6

Atomic structure:
```
data_SrSmGa2Au5
_chemical_formula_sum 'Sr1 Sm1 Ga2 Au5'
_space_group_name_H-M_alt 'P 4/m m m'
_space_group_IT_number 123
_space_group_name_Hall '-P 4 2'
_cell_length_a 4.7565
_cell_length_b 4.7565
_cell_length_c 8.6893
_cell_angle_alpha 90.00
_cell_angle_beta 90.00
_cell_angle_gamma 90.00
loop_
_atom_site_label
_atom_site_type_symbol
_atom_site_fract_x
_atom_site_fract_y
_atom_site_fract_z
Sr1 Sr 0.0000 0.0000 0.0000
Sm1 Sm 0.0000 0.0000 0.5000
Ga1 Ga 0.5000 0.5000 0.3554
Au1 Au 0.0000 0.5000 0.2457
Au2 Au 0.5000 0.5000 0.0000
```


[3]
This entry pairs a crystal structure of Sm2TiGa4Au3 with its computed X-ray powder pattern. Radiation: Cu Kα (λ = 1.5418 Å). Structure: a GGA-PBE-relaxed structure.

Principal peaks in the range 2θ = 10–80°, low angle first:
2θ (°)	I/Imax	hkl
26.2	272	1 0 2
29.9	228	1 1 0
31.6	699	1 0 3
33.9	1000	1 1 2
42.8	656	2 0 0
43.9	297	1 1 4
45.1	496	1 0 5
54.2	309	2 1 3
62.2	216	2 2 0
64.0	351	2 1 5

Atomic structure:
```
data_Sm2TiGa4Au3
_chemical_formula_sum 'Sm2 Ti1 Ga4 Au3'
_space_group_name_H-M_alt 'P -4 m 2'
_space_group_IT_number 115
_cell_length_a 4.2234
_cell_length_b 4.2234
_cell_length_c 11.4191
_cell_angle_alpha 90.00
_cell_angle_beta 90.00
_cell_angle_gamma 90.00
loop_
_space_group_symop_operation_xyz
'x,y,z'
'y,-x,-z'
'-x,-y,z'
'-y,x,-z'
'-x,y,z'
'-y,-x,-z'
'x,-y,z'
'y,x,-z'
loop_
_atom_site_label
_atom_site_type_symbol
_atom_site_fract_x
_atom_site_fract_y
_atom_site_fract_z
Sm1 Sm 0.0000 0.5000 0.2475
Ti1 Ti 0.5000 0.5000 0.0000
Ga1 Ga 0.0000 0.0000 0.5000
Ga2 Ga 0.0000 0.5000 0.8599
Ga3 Ga 0.5000 0.5000 0.5000
Au1 Au 0.0000 0.0000 0.0000
Au2 Au 0.0000 0.5000 0.6373
```